No. 1
The following is a computed X-ray diffraction stick pattern of NpPa3Ge5. It was derived from a DFT-relaxed cell (GGA-PBE, Alexandria), using CuKα.

Main lines, by angle (2θ from 5° to 70°):
Position (°2θ)	I/Imax
23.30	32
25.45	50
34.78	46
35.26	100
37.32	98
45.65	30
52.26	36
64.64	25

abc: 8.8164 8.8164 5.7550
angles: 90.00 90.00 120.00
Space group P6_3/mcm (No. 193)
Inequivalent atoms, fractional coordinates:
Np1 0.0000 0.0000 0.0000 [2 per cell]
Pa1 0.0000 0.3817 0.2500 [6 per cell]
Ge1 0.0000 0.2859 0.7500 [6 per cell]
Ge2 0.3333 0.6667 0.0000 [4 per cell]



No. 2
The following is a computed X-ray diffraction stick pattern of NpPaReGe. It was derived from a DFT-relaxed cell (GGA-PBE, Alexandria), using CuKα.

Main lines, by angle (2θ from 5° to 70°):
Position (°2θ)	I/Imax
22.73	11
26.31	3
37.55	100
44.34	6
54.15	18
59.47	3
61.18	1
67.76	37

abc: 6.7753 6.7753 6.7753
angles: 90.00 90.00 90.00
Space group F-43m (No. 216)
Inequivalent atoms, fractional coordinates:
Np1 0.0000 0.0000 0.0000 [4 per cell]
Pa1 0.2500 0.2500 0.7500 [4 per cell]
Re1 0.0000 0.0000 0.5000 [4 per cell]
Ge1 0.2500 0.2500 0.2500 [4 per cell]



No. 3
The following is a computed X-ray diffraction stick pattern of NpPa2Ge2Ru5. It was derived from a DFT-relaxed cell (GGA-PBE, Alexandria), using CuKα.

Main lines, by angle (2θ from 5° to 70°):
Position (°2θ)	I/Imax
28.44	17
31.76	32
35.51	26
37.36	38
37.82	100
40.66	21
41.09	18
50.03	19

abc: 9.9245 9.9245 3.6465
angles: 90.00 90.00 90.00
Space group P4/mbm (No. 127)
Inequivalent atoms, fractional coordinates:
Np1 0.0000 0.0000 0.0000 [2 per cell]
Pa1 0.1714 0.3286 0.0000 [4 per cell]
Ge1 0.1253 0.6253 0.0000 [4 per cell]
Ru1 0.0000 0.5000 0.5000 [2 per cell]
Ru2 0.0698 0.7914 0.5000 [8 per cell]



No. 4
The following is a computed X-ray diffraction stick pattern of NpGe4Pd4. It was derived from a DFT-relaxed cell (GGA-PBE, Alexandria), using CuKα.

Main lines, by angle (2θ from 5° to 70°):
Position (°2θ)	I/Imax
29.38	19
33.90	100
35.14	28
40.97	13
43.46	35
54.19	13
55.06	14
59.33	17

abc: 6.2307 6.2307 8.3986
angles: 90.00 90.00 90.00
Space group P4_2/nmc (No. 137, origin choice 2)
Inequivalent atoms, fractional coordinates:
Np1 0.2500 0.7500 0.2500 [2 per cell]
Ge1 0.0287 0.2500 0.0516 [8 per cell]
Pd1 0.0269 0.2500 0.3474 [8 per cell]